1.
Structure and computed powder X-ray diffraction pattern of FeOF (a structure optimized by DFT (GGA+U); Cu Kα, 1.54184 Å).

Largest 10 diffraction maxima, in order of rising 2θ, 10 to 90 degrees two-theta:
2θ (°), I (rel.), (hkl)
26.3, 99, 1 0 -3
26.5, 94, 1 0 3
35.1, 100, 1 1 0
40.0, 21, 1 1 -3
40.1, 18, 1 1 3
52.4, 55, 2 1 -3
52.6, 52, 2 1 3
54.2, 17, 2 0 -6
61.3, 24, 0 2 0
66.4, 36, 3 1 0

Structural model:
```
data_FeOF
_symmetry_space_group_name_H-M 'P 1 m 1'
_symmetry_Int_Tables_number 6
_symmetry_space_group_name_Hall 'P -2y'
_cell_length_a 4.768
_cell_length_b 3.025
_cell_length_c 14.326
_cell_angle_alpha 90.00
_cell_angle_beta 90.45
_cell_angle_gamma 90.00
loop_
_atom_site_label
_atom_site_type_symbol
_atom_site_fract_x
_atom_site_fract_y
_atom_site_fract_z
_atom_site_occupancy
Fe1 Fe 0.000 0.000 0.000 1
Fe2 Fe 0.005 0.000 0.333 1
Fe3 Fe 0.501 0.500 0.141 1
Fe4 Fe 0.505 0.500 0.812 1
Fe5 Fe 0.510 0.500 0.477 1
Fe6 Fe 0.933 0.000 0.647 1
O1 O 0.312 0.000 0.087 1
O2 O 0.312 0.000 0.421 1
O3 O 0.672 0.000 0.544 1
O4 O 0.779 0.500 0.714 1
O5 O 0.810 0.500 0.051 1
O6 O 0.825 0.500 0.382 1
F1 F 0.174 0.500 0.588 1
F2 F 0.200 0.500 0.915 1
F3 F 0.210 0.500 0.254 1
F4 F 0.275 0.000 0.752 1
F5 F 0.697 0.000 0.887 1
F6 F 0.707 0.000 0.219 1
```

---

2.
Structure and computed powder X-ray diffraction pattern of FeCoPO5 (a structure optimized by DFT (GGA+U); Cu Kα, 1.54184 Å).

Largest 10 diffraction maxima, in order of rising 2θ, 10 to 90 degrees two-theta:
2θ (°), I (rel.), (hkl)
16.8, 45, 1 0 1
18.0, 27, 0 1 1
26.7, 26, 1 0 2
26.8, 100, 2 0 1
32.3, 98, 1 2 1
34.0, 35, 2 0 2
36.7, 24, 2 2 0
38.6, 33, 0 1 3
55.3, 28, 4 0 2
59.8, 32, 3 2 3

Structural model:
```
data_FeCoPO5
_symmetry_space_group_name_H-M 'P n m a'
_symmetry_Int_Tables_number 62
_symmetry_space_group_name_Hall '-P 2ac 2n'
_cell_length_a 7.416
_cell_length_b 6.530
_cell_length_c 7.480
_cell_angle_alpha 90.00
_cell_angle_beta 90.00
_cell_angle_gamma 90.00
loop_
_atom_site_label
_atom_site_type_symbol
_atom_site_fract_x
_atom_site_fract_y
_atom_site_fract_z
_atom_site_occupancy
Fe1 Fe 0.152 0.250 0.216 1
Co1 Co 0.000 0.000 0.500 1
P1 P 0.123 0.750 0.133 1
O1 O 0.050 0.250 0.978 1
O2 O 0.096 0.750 0.643 1
O3 O 0.130 0.559 0.257 1
O4 O 0.206 0.250 0.511 1
```

---

3.
Structure and computed powder X-ray diffraction pattern of Li7Mn5O12 (a structure optimized by DFT (GGA+U); Cu Kα, 1.54184 Å).

Largest 10 diffraction maxima, in order of rising 2θ, 10 to 90 degrees two-theta:
2θ (°), I (rel.), (hkl)
18.3, 100, 1 0 -1
34.1, 16, 2 2 2
36.3, 23, 1 -1 3
41.0, 34, 3 2 1
44.2, 28, -1 3 1
44.3, 28, 0 1 -4
61.7, 8, 3 1 5
61.9, 16, 2 5 2
62.1, 8, 3 3 -3
63.9, 10, -1 2 5

Structural model:
```
data_Li7Mn5O12
_symmetry_space_group_name_H-M 'P -1'
_symmetry_Int_Tables_number 2
_symmetry_space_group_name_Hall '-P 1'
_cell_length_a 6.915
_cell_length_b 7.801
_cell_length_c 8.760
_cell_angle_alpha 84.62
_cell_angle_beta 80.04
_cell_angle_gamma 72.19
loop_
_atom_site_label
_atom_site_type_symbol
_atom_site_fract_x
_atom_site_fract_y
_atom_site_fract_z
_atom_site_occupancy
Li1 Li 0.050 0.160 0.031 1
Li2 Li 0.122 0.503 0.129 1
Li3 Li 0.205 0.831 0.203 1
Li4 Li 0.244 0.000 0.751 1
Li5 Li 0.278 0.155 0.289 1
Li6 Li 0.393 0.504 0.373 1
Li7 Li 0.447 0.841 0.464 1
Mn1 Mn 0.000 0.000 0.500 1
Mn2 Mn 0.081 0.327 0.587 1
Mn3 Mn 0.172 0.669 0.668 1
Mn4 Mn 0.326 0.326 0.832 1
Mn5 Mn 0.417 0.670 0.916 1
Mn6 Mn 0.500 0.000 0.000 1
O1 O 0.009 0.095 0.286 1
O2 O 0.057 0.253 0.800 1
O3 O 0.069 0.413 0.365 1
O4 O 0.149 0.575 0.879 1
O5 O 0.188 0.762 0.453 1
O6 O 0.234 0.086 0.519 1
O7 O 0.265 0.913 0.980 1
O8 O 0.315 0.236 0.052 1
O9 O 0.346 0.425 0.613 1
O10 O 0.404 0.572 0.134 1
O11 O 0.409 0.736 0.695 1
O12 O 0.488 0.910 0.215 1
```

---

4.
Structure and computed powder X-ray diffraction pattern of VO2F (a structure optimized by DFT (GGA+U); Cu Kα, 1.54184 Å).

Largest 10 diffraction maxima, in order of rising 2θ, 10 to 90 degrees two-theta:
2θ (°), I (rel.), (hkl)
23.6, 100, 1 0 -2
24.2, 50, 1 -1 2
33.3, 14, 0 1 -4
33.8, 11, 1 -2 0
48.2, 9, 2 0 -4
48.3, 12, 0 2 4
49.6, 9, 2 -2 4
54.0, 8, 1 2 2
54.4, 5, -1 3 2
54.7, 8, -1 2 6

Structural model:
```
data_VO2F
_symmetry_space_group_name_H-M 'P 1'
_symmetry_Int_Tables_number 1
_symmetry_space_group_name_Hall 'P 1'
_cell_length_a 5.160
_cell_length_b 5.313
_cell_length_c 13.018
_cell_angle_alpha 90.34
_cell_angle_beta 91.28
_cell_angle_gamma 118.11
loop_
_atom_site_label
_atom_site_type_symbol
_atom_site_fract_x
_atom_site_fract_y
_atom_site_fract_z
_atom_site_occupancy
V1 V 0.000 0.000 0.000 1
V2 V 0.004 0.022 0.501 1
V3 V 0.328 0.673 0.173 1
V4 V 0.394 0.736 0.673 1
V5 V 0.631 0.347 0.336 1
V6 V 0.695 0.337 0.837 1
O1 O 0.073 0.568 0.259 1
O2 O 0.180 0.888 0.084 1
O3 O 0.189 0.860 0.544 1
O4 O 0.285 0.197 0.378 1
O5 O 0.444 0.248 0.925 1
O6 O 0.474 0.051 0.736 1
O7 O 0.528 0.584 0.754 1
O8 O 0.551 0.534 0.213 1
O9 O 0.660 0.843 0.038 1
O10 O 0.712 0.898 0.583 1
O11 O 0.809 0.250 0.422 1
O12 O 0.916 0.201 0.880 1
F1 F 0.115 0.364 0.072 1
F2 F 0.241 0.375 0.567 1
F3 F 0.581 0.050 0.236 1
F4 F 0.765 0.729 0.396 1
F5 F 0.963 0.724 0.894 1
F6 F 0.996 0.533 0.707 1
```

---

5.
Structure and computed powder X-ray diffraction pattern of Sr2CdWO6 (a structure optimized by DFT (GGA+U); Cu Kα, 1.54184 Å).

Largest 10 diffraction maxima, in order of rising 2θ, 10 to 90 degrees two-theta:
2θ (°), I (rel.), (hkl)
21.6, 13, 1 1 0
30.4, 100, 1 1 2
30.7, 56, 2 0 0
42.9, 17, 0 0 4
44.0, 27, 2 2 0
53.7, 23, 2 0 4
54.4, 45, 1 3 2
63.1, 18, 2 2 4
87.3, 12, 1 3 6
88.2, 14, 4 2 4

Structural model:
```
data_Sr2CdWO6
_symmetry_space_group_name_H-M 'I 4/m'
_symmetry_Int_Tables_number 87
_symmetry_space_group_name_Hall '-I 4'
_cell_length_a 5.820
_cell_length_b 5.820
_cell_length_c 8.432
_cell_angle_alpha 90.00
_cell_angle_beta 90.00
_cell_angle_gamma 90.00
loop_
_atom_site_label
_atom_site_type_symbol
_atom_site_fract_x
_atom_site_fract_y
_atom_site_fract_z
_atom_site_occupancy
Sr1 Sr 0.000 0.500 0.250 1
Cd1 Cd 0.000 0.000 0.000 1
W1 W 0.000 0.000 0.500 1
O1 O 0.000 0.000 0.268 1
O2 O 0.162 0.294 0.500 1
```

---

6.
Structure and computed powder X-ray diffraction pattern of Li4Ti2Ni3O10 (a structure optimized by DFT (GGA+U); Cu Kα, 1.54184 Å).

Largest 10 diffraction maxima, in order of rising 2θ, 10 to 90 degrees two-theta:
2θ (°), I (rel.), (hkl)
12.6, 93, 0 1 0
18.4, 100, 1 1 1
22.9, 16, 0 0 2
27.1, 20, 1 2 -1
37.4, 17, 2 -1 0
43.0, 53, 0 3 2
43.9, 50, 1 -1 3
44.0, 48, 3 2 -1
62.6, 14, 1 2 5
63.5, 39, 1 -4 1

Structural model:
```
data_Li4Ti2Ni3O10
_symmetry_space_group_name_H-M 'P -1'
_symmetry_Int_Tables_number 2
_symmetry_space_group_name_Hall '-P 1'
_cell_length_a 6.528
_cell_length_b 7.758
_cell_length_c 7.806
_cell_angle_alpha 84.39
_cell_angle_beta 89.77
_cell_angle_gamma 65.58
loop_
_atom_site_label
_atom_site_type_symbol
_atom_site_fract_x
_atom_site_fract_y
_atom_site_fract_z
_atom_site_occupancy
Li1 Li 0.112 0.196 0.198 1
Li2 Li 0.191 0.395 0.901 1
Li3 Li 0.248 0.510 0.252 1
Li4 Li 0.318 0.600 0.587 1
Ti1 Ti 0.172 0.309 0.551 1
Ti2 Ti 0.357 0.696 0.956 1
Ni1 Ni 0.000 0.000 0.500 1
Ni2 Ni 0.046 0.098 0.844 1
Ni3 Ni 0.455 0.903 0.651 1
Ni4 Ni 0.500 0.000 0.000 1
O1 O 0.029 0.543 0.654 1
O2 O 0.083 0.674 0.039 1
O3 O 0.090 0.776 0.373 1
O4 O 0.175 0.861 0.739 1
O5 O 0.208 0.958 0.051 1
O6 O 0.258 0.068 0.439 1
O7 O 0.306 0.152 0.774 1
O8 O 0.395 0.241 0.117 1
O9 O 0.413 0.346 0.466 1
O10 O 0.461 0.469 0.847 1
```

---

7.
Structure and computed powder X-ray diffraction pattern of ZrV2O7 (a structure optimized by DFT (GGA+U); Cu Kα, 1.54184 Å).

Largest 10 diffraction maxima, in order of rising 2θ, 10 to 90 degrees two-theta:
2θ (°), I (rel.), (hkl)
17.0, 31, 1 1 1
19.6, 100, 2 0 0
21.9, 73, 2 1 0
24.1, 63, 2 1 1
27.9, 37, 2 2 0
32.8, 47, 3 1 1
44.7, 27, 4 0 2
49.3, 27, 4 2 2
52.5, 34, 5 1 1
57.6, 20, 4 4 0

Structural model:
```
data_ZrV2O7
_symmetry_space_group_name_H-M 'P a -3'
_symmetry_Int_Tables_number 205
_symmetry_space_group_name_Hall '-P 2ac 2ab 3'
_cell_length_a 9.057
_cell_length_b 9.057
_cell_length_c 9.057
_cell_angle_alpha 90.00
_cell_angle_beta 90.00
_cell_angle_gamma 90.00
loop_
_atom_site_label
_atom_site_type_symbol
_atom_site_fract_x
_atom_site_fract_y
_atom_site_fract_z
_atom_site_occupancy
Zr1 Zr 0.000 0.000 0.000 1
V1 V 0.114 0.614 0.886 1
O1 O 0.000 0.000 0.500 1
O2 O 0.063 0.704 0.409 1
```

---

8.
Structure and computed powder X-ray diffraction pattern of MgCo4O8 (a structure optimized by DFT (GGA+U); Cu Kα, 1.54184 Å).

Largest 10 diffraction maxima, in order of rising 2θ, 10 to 90 degrees two-theta:
2θ (°), I (rel.), (hkl)
18.3, 100, 0 1 -1
18.5, 33, 1 -1 0
34.4, 16, 1 1 0
34.5, 25, 0 1 1
34.7, 16, 1 0 -2
37.2, 16, 0 0 2
37.5, 24, 1 -2 2
41.4, 30, 0 2 0
41.6, 29, 2 0 -2
46.6, 20, 2 -2 2

Structural model:
```
data_MgCo4O8
_symmetry_space_group_name_H-M 'P 1'
_symmetry_Int_Tables_number 1
_symmetry_space_group_name_Hall 'P 1'
_cell_length_a 5.822
_cell_length_b 5.837
_cell_length_c 5.848
_cell_angle_alpha 116.78
_cell_angle_beta 96.08
_cell_angle_gamma 116.01
loop_
_atom_site_label
_atom_site_type_symbol
_atom_site_fract_x
_atom_site_fract_y
_atom_site_fract_z
_atom_site_occupancy
Mg1 Mg 0.000 0.000 0.000 1
Co1 Co 0.361 0.740 0.612 1
Co2 Co 0.381 0.743 0.124 1
Co3 Co 0.384 0.246 0.629 1
Co4 Co 0.873 0.253 0.613 1
O1 O 0.137 0.274 0.409 1
O2 O 0.138 0.267 0.857 1
O3 O 0.140 0.725 0.866 1
O4 O 0.167 0.776 0.375 1
O5 O 0.590 0.718 0.857 1
O6 O 0.602 0.209 0.375 1
O7 O 0.604 0.760 0.363 1
O8 O 0.613 0.208 0.821 1
```

---

9.
Structure and computed powder X-ray diffraction pattern of MnP2PbO7 (a structure optimized by DFT (GGA+U); Cu Kα, 1.54184 Å).

Largest 10 diffraction maxima, in order of rising 2θ, 10 to 90 degrees two-theta:
2θ (°), I (rel.), (hkl)
13.5, 87, 0 0 2
17.5, 43, 1 0 0
26.1, 100, 1 0 2
26.4, 57, 1 2 -1
27.2, 71, 1 2 -2
28.1, 51, 1 1 -4
29.2, 46, 0 2 3
29.7, 50, 1 2 -3
33.5, 37, 1 2 2
42.7, 44, 0 1 6

Structural model:
```
data_MnP2PbO7
_symmetry_space_group_name_H-M 'P 1 21/c 1'
_symmetry_Int_Tables_number 14
_symmetry_space_group_name_Hall '-P 2ybc'
_cell_length_a 5.490
_cell_length_b 8.585
_cell_length_c 14.182
_cell_angle_alpha 90.00
_cell_angle_beta 112.57
_cell_angle_gamma 90.00
loop_
_atom_site_label
_atom_site_type_symbol
_atom_site_fract_x
_atom_site_fract_y
_atom_site_fract_z
_atom_site_occupancy
Mn1 Mn 0.223 0.149 0.397 1
P1 P 0.077 0.538 0.332 1
P2 P 0.164 0.706 0.979 1
Pb1 Pb 0.478 0.678 0.775 1
O1 O 0.027 0.134 0.845 1
O2 O 0.115 0.172 0.526 1
O3 O 0.171 0.614 0.445 1
O4 O 0.184 0.117 0.237 1
O5 O 0.239 0.603 0.904 1
O6 O 0.296 0.565 0.292 1
O7 O 0.380 0.699 0.087 1
```